Diffraction record for Ba2BeSO4F4. The powder X-ray diffraction pattern is theoretical, not measured: it uses a structure optimized by DFT (GGA-PBE) and Cu Kα (weighted mean of Kα1 and Kα2).
Lines closer than 0.1° are merged.

Structural model:
```
data_Ba2BeSO4F4
_cell_length_a 6.3468
_cell_length_b 7.8078
_cell_length_c 7.3962
_cell_angle_alpha 90.00
_cell_angle_beta 94.29
_cell_angle_gamma 90.00
_space_group_name_H-M_alt 'P 1 21 1'
_space_group_IT_number 4
loop_
_space_group_symop_operation_xyz
'x,y,z'
'-x,y+1/2,-z'
loop_
_atom_site_label
_atom_site_type_symbol
_atom_site_fract_x
_atom_site_fract_y
_atom_site_fract_z
_atom_site_occupancy
Ba1 Ba 0.0213 0.0000 0.0972 1
Ba2 Ba 0.4223 0.7979 0.6023 1
Be1 Be 0.0287 0.0961 0.5988 1
S1 S 0.4820 0.2379 0.9207 1
O1 O 0.3028 0.2524 0.0461 1
O2 O 0.3104 0.7633 0.9687 1
O3 O 0.4230 0.9828 0.3010 1
O4 O 0.4312 0.4329 0.8342 1
F1 F 0.0439 0.9348 0.7249 1
F2 F 0.0919 0.7368 0.3041 1
F3 F 0.1091 0.5629 0.5821 1
F4 F 0.2571 0.1467 0.5589 1
```

Main lines, in order of rising 2θ (2θ from 10° to 90°):
two_theta	intensity	index
16.53	16	0 1 1
19.15	25	1 0 1
21.13	21	1 1 -1
26.80	100	1 2 0
28.20	23	2 0 0
29.42	17	1 1 -2
31.15	18	1 1 2
36.59	17	0 3 1
37.85	18	2 1 -2
39.30	17	2 2 1